For Pm3DyY, the GGA-PBE geometry in Alexandria gives the simulated powder X-ray diffraction pattern in this record (Cu Kα, 1.54184 Å).
No peak broadening, texture or thermal motion is included.

Largest 10 diffraction maxima, low angle first, 2θ = 15–90°:
| 2θ/deg | Rel. int. |
| --- | --- |
| 30.26 | 830 |
| 30.93 | 1000 |
| 32.42 | 453 |
| 32.78 | 380 |
| 33.83 | 153 |
| 40.69 | 164 |
| 46.77 | 281 |
| 56.90 | 177 |
| 57.76 | 157 |
| 60.98 | 287 |

Atomic structure:
```
Pm3DyY
1.0
2.7616 -8.4835 0.0000
2.7616 8.4835 0.0000
0.0000 0.0000 7.1429
Pm Dy Y
6 2 2
Cartesian
2.7616 8.4800 0.0000 Pm
2.7616 -8.4800 3.5714 Pm
2.7616 5.0963 7.1326 Pm
2.7616 1.8399 5.3585 Pm
2.7616 -1.8399 1.7870 Pm
2.7616 -5.0963 3.5612 Pm
2.7616 5.1051 3.5662 Dy
2.7616 -5.1051 7.1377 Dy
2.7616 1.8466 1.7748 Y
2.7616 -1.8466 5.3462 Y
```